This entry pairs a crystal structure of Ho6Er8Sn with its simulated XRD peak list. Radiation: Cu Kα, 1.54184 Å. Structure: a PBE-relaxed structure.
Neutral-atom scattering factors, no anomalous dispersion.

Top 10 peaks for 2θ = 10–90°, sorted by position:
| 2theta | I (rel.) |
| --- | --- |
| 10.46 | 14 |
| 27.91 | 19 |
| 31.03 | 51 |
| 31.74 | 33 |
| 32.02 | 100 |
| 35.45 | 68 |
| 44.98 | 25 |
| 52.03 | 17 |
| 55.83 | 21 |
| 58.10 | 16 |

Atomic structure:
Cell: 9.7655 9.7655 5.7644 Å, 90.00 90.00 120.00°
Sites, in units of the cell vectors:
Ho (0.1497, 0.7113, 0.0000)
Ho (0.2887, 0.4384, 0.0000)
Ho (0.4384, 0.1497, 0.0000)
Ho (0.5616, 0.8503, 0.0000)
Ho (0.7113, 0.5616, 0.0000)
Ho (0.8503, 0.2887, 0.0000)
Er (0.0251, 0.3384, 0.5000)
Er (0.3133, 0.9749, 0.5000)
Er (0.3333, 0.6667, 0.5000)
Er (0.3384, 0.3133, 0.5000)
Er (0.6616, 0.6867, 0.5000)
Er (0.6667, 0.3333, 0.5000)
Er (0.6867, 0.0251, 0.5000)
Er (0.9749, 0.6616, 0.5000)
Sn (0.0000, 0.0000, 0.0000)